(1)
# Ca6Pb2BrN
Theoretical XRD peak list, Cu Kα X-rays. Input: a structure optimized by DFT (GGA-PBE).

Structural model:
```
Ca6Pb2BrN
1.0
0.000 5.210 5.210
5.210 0.000 5.210
5.210 5.210 0.000
Ca Pb Br N
6 2 1 1
Direct
0.228 0.228 0.772
0.228 0.772 0.228
0.228 0.772 0.772
0.772 0.228 0.228
0.772 0.228 0.772
0.772 0.772 0.228
0.250 0.250 0.250
0.750 0.750 0.750
0.500 0.500 0.500
0.000 0.000 0.000
```

Top 10 peaks for 2θ = 10–90°, low angle first:
2θ = 17.02°, I = 27; 2θ = 24.16°, I = 100; 2θ = 29.70°, I = 69; 2θ = 34.43°, I = 63; 2θ = 38.64°, I = 19; 2θ = 42.50°, I = 44; 2θ = 49.48°, I = 42; 2θ = 55.80°, I = 24; 2θ = 58.78°, I = 27; 2θ = 67.24°, I = 26

(2)
# CaTc2BrN
Theoretical XRD peak list, Cu Kα X-rays. Input: a structure optimized by DFT (GGA-PBE).

Structural model:
```
CaTc2BrN
1.0
4.613 0.000 0.000
0.000 4.613 0.000
0.000 0.000 4.768
Ca Tc Br N
1 2 1 1
Direct
0.000 0.000 0.000
0.000 0.500 0.500
0.500 0.000 0.500
0.500 0.500 0.500
0.500 0.500 0.000
```

Top 10 peaks for 2θ = 10–90°, low angle first:
2θ = 18.61°, I = 100; 2θ = 26.89°, I = 39; 2θ = 33.28°, I = 56; 2θ = 37.73°, I = 37; 2θ = 39.05°, I = 67; 2θ = 43.59°, I = 45; 2θ = 55.43°, I = 46; 2θ = 56.41°, I = 22; 2θ = 59.94°, I = 17; 2θ = 69.88°, I = 22

(3)
# Na3Ca2Br3O2
Theoretical XRD peak list, Cu Kα X-rays. Input: a structure optimized by DFT (GGA-PBE).

Structural model:
```
Na3Ca2Br3O2
1.0
-2.216 2.216 11.792
2.216 -2.216 11.792
2.216 2.216 -11.792
Na Ca Br O
3 2 3 2
Direct
0.000 0.000 0.000
0.375 0.375 0.000
0.625 0.625 0.000
0.250 0.750 0.500
0.750 0.250 0.500
0.127 0.127 0.000
0.500 0.500 0.000
0.873 0.873 0.000
0.277 0.277 0.000
0.723 0.723 0.000
```

Top 10 peaks for 2θ = 10–90°, low angle first:
2θ = 23.04°, I = 74; 2θ = 27.62°, I = 75; 2θ = 28.48°, I = 100; 2θ = 29.49°, I = 61; 2θ = 30.32°, I = 99; 2θ = 32.35°, I = 53; 2θ = 36.68°, I = 47; 2θ = 40.72°, I = 97; 2θ = 42.08°, I = 54; 2θ = 51.60°, I = 83

(4)
# NaCaPrBr6
Theoretical XRD peak list, Cu Kα X-rays. Input: a structure optimized by DFT (GGA-PBE).

Structural model:
```
NaCaPrBr6
1.0
7.468 0.000 0.000
-3.734 6.468 0.000
0.000 0.000 13.305
Na Ca Pr Br
2 2 2 12
Direct
0.000 0.000 0.000
0.000 0.000 0.500
0.333 0.667 0.250
0.667 0.333 0.750
0.333 0.667 0.750
0.667 0.333 0.250
0.001 0.350 0.128
0.001 0.652 0.372
0.348 0.350 0.372
0.348 0.999 0.128
0.350 0.001 0.628
0.350 0.348 0.872
0.650 0.652 0.128
0.650 0.999 0.372
0.652 0.001 0.872
0.652 0.650 0.628
0.999 0.348 0.628
0.999 0.650 0.872
```

Top 10 peaks for 2θ = 10–90°, low angle first:
2θ = 13.31°, I = 14; 2θ = 15.23°, I = 13; 2θ = 19.14°, I = 17; 2θ = 27.39°, I = 100; 2θ = 36.16°, I = 48; 2θ = 41.90°, I = 36; 2θ = 47.70°, I = 22; 2θ = 50.78°, I = 18; 2θ = 67.88°, I = 13; 2θ = 71.67°, I = 14

(5)
# NaCaTlBr4
Theoretical XRD peak list, Cu Kα X-rays. Input: a structure optimized by DFT (GGA-PBE).

Structural model:
```
NaCaTlBr4
1.0
-4.425 4.719 6.385
4.425 -4.719 6.385
4.425 4.719 -6.385
Na Ca Tl Br
2 2 2 8
Direct
0.000 0.000 0.000
0.500 0.000 0.500
0.500 0.000 0.000
0.500 0.500 0.500
0.125 0.375 0.750
0.875 0.625 0.250
0.273 0.244 0.471
0.273 0.803 0.029
0.286 0.242 0.044
0.301 0.758 0.544
0.699 0.242 0.456
0.714 0.758 0.956
0.727 0.197 0.971
0.727 0.756 0.529
```

Top 10 peaks for 2θ = 10–90°, low angle first:
2θ = 18.81°, I = 35; 2θ = 19.55°, I = 96; 2θ = 22.46°, I = 31; 2θ = 23.24°, I = 58; 2θ = 23.44°, I = 38; 2θ = 24.48°, I = 38; 2θ = 30.64°, I = 31; 2θ = 35.72°, I = 50; 2θ = 36.61°, I = 41; 2θ = 39.71°, I = 100

(6)
# NaCa2TlBr8
Theoretical XRD peak list, Cu Kα X-rays. Input: a structure optimized by DFT (GGA-PBE).

Structural model:
```
NaCa2TlBr8
1.0
6.627 0.000 0.000
0.000 8.680 0.000
-0.075 0.000 6.994
Na Ca Tl Br
1 2 1 8
Direct
0.000 0.000 0.000
0.500 0.249 0.500
0.500 0.751 0.500
0.000 0.500 0.000
0.236 0.265 0.153
0.236 0.735 0.153
0.256 0.500 0.657
0.277 0.000 0.665
0.723 0.000 0.335
0.744 0.500 0.343
0.764 0.265 0.847
0.764 0.735 0.847
```

Top 10 peaks for 2θ = 10–90°, low angle first:
2θ = 10.19°, I = 43; 2θ = 18.34°, I = 33; 2θ = 18.54°, I = 36; 2θ = 27.62°, I = 36; 2θ = 27.75°, I = 100; 2θ = 28.74°, I = 55; 2θ = 36.34°, I = 53; 2θ = 36.56°, I = 43; 2θ = 41.62°, I = 32; 2θ = 44.09°, I = 56

(7)
# CaNiBr2
Theoretical XRD peak list, Cu Kα X-rays. Input: a structure optimized by DFT (GGA-PBE).

Structural model:
```
CaNiBr2
1.0
4.154 0.000 0.000
-1.078 7.403 0.000
-1.818 -1.559 7.114
Ca Ni Br
2 2 4
Direct
0.000 0.000 0.000
0.130 0.789 0.455
0.240 0.164 0.458
0.640 0.031 0.290
0.433 0.139 0.767
0.450 0.722 0.144
0.714 0.674 0.686
0.910 0.322 0.268
```

Top 10 peaks for 2θ = 10–90°, low angle first:
2θ = 12.24°, I = 86; 2θ = 12.44°, I = 61; 2θ = 24.62°, I = 65; 2θ = 24.89°, I = 72; 2θ = 28.28°, I = 100; 2θ = 28.80°, I = 66; 2θ = 30.04°, I = 52; 2θ = 30.28°, I = 49; 2θ = 31.00°, I = 51; 2θ = 44.08°, I = 61

(8)
# Ca2Br3O2
Theoretical XRD peak list, Cu Kα X-rays. Input: a structure optimized by DFT (GGA-PBE).

Structural model:
```
Ca2Br3O2
1.0
4.302 0.000 0.000
-0.019 6.735 0.000
-2.123 -1.911 6.545
Ca Br O
2 3 2
Direct
0.114 0.319 0.226
0.886 0.681 0.774
0.256 0.744 0.512
0.500 0.500 0.000
0.744 0.256 0.488
0.161 0.996 0.007
0.839 0.004 0.993
```

Top 10 peaks for 2θ = 10–90°, low angle first:
2θ = 13.70°, I = 42; 2θ = 26.81°, I = 76; 2θ = 27.13°, I = 44; 2θ = 27.25°, I = 40; 2θ = 29.65°, I = 98; 2θ = 29.78°, I = 100; 2θ = 34.21°, I = 62; 2θ = 43.03°, I = 35; 2θ = 45.85°, I = 45; 2θ = 46.01°, I = 49

(9)
# Ca3PuBr2O6
Theoretical XRD peak list, Cu Kα X-rays. Input: a structure optimized by DFT (GGA-PBE).

Structural model:
```
Ca3PuBr2O6
1.0
6.115 -3.373 0.000
6.115 3.373 0.000
-0.785 0.000 5.649
Ca Pu Br O
3 1 2 6
Direct
0.000 0.000 0.000
0.000 0.500 0.500
0.500 0.000 0.500
0.500 0.500 0.500
0.210 0.210 0.874
0.790 0.790 0.126
0.227 0.664 0.691
0.336 0.773 0.309
0.343 0.343 0.348
0.657 0.657 0.652
0.664 0.227 0.691
0.773 0.336 0.309
```

Top 10 peaks for 2θ = 10–90°, low angle first:
2θ = 15.03°, I = 46; 2θ = 15.69°, I = 28; 2θ = 19.96°, I = 25; 2θ = 21.04°, I = 35; 2θ = 22.52°, I = 100; 2θ = 25.71°, I = 32; 2θ = 28.59°, I = 21; 2θ = 29.49°, I = 28; 2θ = 33.34°, I = 48; 2θ = 34.27°, I = 26

(10)
# CaReBrO4
Theoretical XRD peak list, Cu Kα X-rays. Input: a structure optimized by DFT (GGA-PBE).

Structural model:
```
CaReBrO4
1.0
5.399 -3.738 0.000
5.399 3.738 0.000
-4.070 0.000 8.146
Ca Re Br O
2 2 2 8
Direct
0.195 0.195 0.192
0.805 0.805 0.808
0.390 0.390 0.699
0.610 0.610 0.301
0.085 0.085 0.845
0.915 0.915 0.155
0.150 0.531 0.771
0.308 0.308 0.484
0.430 0.430 0.229
0.469 0.850 0.229
0.531 0.150 0.771
0.570 0.570 0.771
0.692 0.692 0.516
0.850 0.469 0.229
```

Top 10 peaks for 2θ = 10–90°, low angle first:
2θ = 14.99°, I = 37; 2θ = 16.64°, I = 58; 2θ = 20.84°, I = 100; 2θ = 21.35°, I = 35; 2θ = 21.82°, I = 66; 2θ = 22.88°, I = 41; 2θ = 23.81°, I = 91; 2θ = 27.54°, I = 100; 2θ = 32.19°, I = 38; 2θ = 40.15°, I = 38

(11)
# CaOs2Br
Theoretical XRD peak list, Cu Kα X-rays. Input: a structure optimized by DFT (GGA-PBE).

Structural model:
```
CaOs2Br
1.0
3.524 0.000 0.000
0.000 3.112 0.000
0.000 0.000 15.366
Ca Os Br
2 4 2
Direct
0.000 0.000 0.000
0.000 0.500 0.500
0.000 0.000 0.206
0.000 0.500 0.706
0.500 0.000 0.643
0.500 0.500 0.143
0.500 0.000 0.383
0.500 0.500 0.883
```

Top 10 peaks for 2θ = 10–90°, low angle first:
2θ = 11.52°, I = 100; 2θ = 23.15°, I = 30; 2θ = 34.54°, I = 37; 2θ = 39.06°, I = 54; 2θ = 41.29°, I = 22; 2θ = 42.59°, I = 32; 2θ = 50.91°, I = 11; 2θ = 51.90°, I = 10; 2θ = 54.40°, I = 12; 2θ = 68.38°, I = 10

(12)
# CaPBr
Theoretical XRD peak list, Cu Kα X-rays. Input: a structure optimized by DFT (GGA-PBE).

Structural model:
```
CaPBr
1.0
7.348 0.000 0.000
0.000 4.176 0.000
-1.240 0.000 11.214
Ca P Br
4 4 4
Direct
0.058 0.000 0.184
0.442 0.500 0.816
0.558 0.500 0.184
0.942 0.000 0.816
0.142 0.500 0.981
0.358 0.000 0.019
0.642 0.000 0.981
0.858 0.500 0.019
0.250 0.000 0.672
0.250 0.500 0.328
0.750 0.000 0.328
0.750 0.500 0.672
```

Top 10 peaks for 2θ = 10–90°, low angle first:
2θ = 15.81°, I = 27; 2θ = 23.80°, I = 27; 2θ = 24.80°, I = 21; 2θ = 25.41°, I = 32; 2θ = 26.25°, I = 22; 2θ = 30.08°, I = 100; 2θ = 32.33°, I = 45; 2θ = 39.55°, I = 27; 2θ = 43.00°, I = 47; 2θ = 43.34°, I = 24